Ac2ZnRh: theoretical X-ray powder pattern (Cu Kα (λ = 1.5418 Å)), based on a structure optimized by DFT (GGA-PBE).
No peak broadening, texture or thermal motion is included.

The 10 most intense peaks (2θ = 5–70°), most intense first:
30.49 deg, I = 100; 41.50 deg, I = 49; 23.92 deg, I = 28; 24.83 deg, I = 27; 28.19 deg, I = 26; 45.74 deg, I = 25; 35.97 deg, I = 23; 52.36 deg, I = 22; 11.38 deg, I = 21; 68.93 deg, I = 20

Structural model:
```
data_Ac2ZnRh
_chemical_formula_sum 'Ac6 Zn3 Rh3'
_space_group_name_H-M_alt 'R 3 m'
_space_group_IT_number 160
_space_group_name_Hall 'R 3 -2"'
_cell_length_a 4.3517
_cell_length_b 4.3517
_cell_length_c 23.3312
_cell_angle_alpha 90.00
_cell_angle_beta 90.00
_cell_angle_gamma 120.00
loop_
_atom_site_label
_atom_site_fract_x
_atom_site_fract_y
_atom_site_fract_z
Ac1 0.0000 0.0000 0.0000
Ac2 0.0000 0.0000 0.1935
Zn1 0.0000 0.0000 0.4310
Rh1 0.0000 0.0000 0.5951
```